This entry pairs a crystal structure of Y5Tl3 with its theoretical X-ray diffraction stick pattern. Radiation: Cu Kα X-rays. Structure: a GGA-PBE-relaxed structure.

Cell and atoms:
```
data_Y5Tl3
_cell_length_a 9.0521
_cell_length_b 9.0521
_cell_length_c 6.6563
_cell_angle_alpha 90.00
_cell_angle_beta 90.00
_cell_angle_gamma 120.00
_symmetry_space_group_name_H-M 'P 63/m c m'
_symmetry_Int_Tables_number 193
_symmetry_space_group_name_Hall '-P 6c 2'
loop_
_atom_site_label
_atom_site_type_symbol
_atom_site_fract_x
_atom_site_fract_y
_atom_site_fract_z
Y1 Y 0.0000 0.2356 0.2500
Y2 Y 0.3333 0.6667 0.0000
Tl1 Tl 0.0000 0.4027 0.7500
```

Largest 6 diffraction maxima, by angle, 5 to 70 degrees two-theta:
2theta, I_rel
23.77, 33
26.79, 32
33.09, 100
33.42, 61
34.32, 30
43.80, 35



This entry pairs a crystal structure of TbPrSBr with its theoretical X-ray diffraction stick pattern. Radiation: Cu Kα X-rays. Structure: a GGA-PBE-relaxed structure.

Cell and atoms:
```
data_TbPrSBr
_cell_length_a 6.7956
_cell_length_b 3.9291
_cell_length_c 8.0141
_cell_angle_alpha 90.00
_cell_angle_beta 106.32
_cell_angle_gamma 90.00
_symmetry_space_group_name_H-M 'C 1 m 1'
_symmetry_Int_Tables_number 8
loop_
_symmetry_equiv_pos_as_xyz
'x,y,z'
'x,-y,z'
'x+1/2,y+1/2,z'
'x+1/2,-y+1/2,z'
loop_
_atom_site_label
_atom_site_type_symbol
_atom_site_fract_x
_atom_site_fract_y
_atom_site_fract_z
Tb1 Tb 0.0000 0.0000 0.0000
Pr1 Pr 0.1990 0.0000 0.5970
S1 S 0.1041 0.5000 0.8122
Br1 Br 0.4253 0.0000 0.2764
```

Largest 6 diffraction maxima, by angle, 5 to 70 degrees two-theta:
2theta, I_rel
26.50, 37
30.52, 46
32.71, 100
46.24, 42
47.63, 26
59.29, 19